Starting from a PBE+U-relaxed structure, the X-ray powder pattern of Tl2CrF6 was simulated for copper Kα.

Cell and atoms:
abc: 6.0755 6.0755 9.9267
angles: 90.00 90.00 120.00
Space group P6_3mc (No. 186)
Asymmetric unit:
Tl 0.0000 0.0000 0.0000 [2 per cell]
Tl 0.3333 0.6667 0.2812 [2 per cell]
Cr 0.3333 0.6667 0.6736 [2 per cell]
F 0.0459 0.5230 0.5632 [6 per cell]
F 0.1861 0.3722 0.7785 [6 per cell]

Main lines, in order of rising 2θ (2θ from 5° to 70°):
- 2θ 19.09, rel. 29.2
- 2θ 24.66, rel. 100.0
- 2θ 29.40, rel. 67.1
- 2θ 31.95, rel. 20.1
- 2θ 35.29, rel. 16.6
- 2θ 38.74, rel. 52.1
- 2θ 43.97, rel. 15.1
- 2θ 47.30, rel. 21.5
- 2θ 49.37, rel. 28.1
- 2θ 66.82, rel. 18.4